No. 1
The following is a simulated powder X-ray diffraction pattern of Li4NbCu3O8. It was derived from a GGA-PBE-relaxed structure, using Cu Kα, 1.54184 Å.
Intensities are scaled so that the largest is 100.

Structural model:
```
data_Li4NbCu3O8
_chemical_formula_sum 'Li4 Nb1 Cu3 O8'
_space_group_name_H-M_alt 'P 1'
_space_group_IT_number 1
_cell_length_a 6.157
_cell_length_b 6.157
_cell_length_c 5.804
_cell_angle_alpha 116.91
_cell_angle_beta 116.91
_cell_angle_gamma 55.90
loop_
_space_group_symop_operation_xyz
'x,y,z'
loop_
_atom_site_label
_atom_site_fract_x
_atom_site_fract_y
_atom_site_fract_z
Li1 0.000 0.000 0.000
Li2 0.000 0.500 0.500
Li3 0.500 0.000 0.500
Li4 0.500 0.500 0.000
Nb1 0.000 0.000 0.500
Cu1 0.000 0.500 0.000
Cu2 0.500 0.000 0.000
Cu3 0.500 0.500 0.500
O1 0.220 0.736 0.721
O2 0.225 0.225 0.748
O3 0.264 0.780 0.279
O4 0.271 0.271 0.239
O5 0.729 0.729 0.761
O6 0.736 0.220 0.721
O7 0.775 0.775 0.252
O8 0.780 0.264 0.279
```

Principal peaks in the range 5 to 70 degrees two-theta, by intensity:
2θ (°), I (rel.)
18.2, 100
44.3, 44
36.0, 37
38.5, 31
32.3, 24
59.5, 15


No. 2
The following is a simulated powder X-ray diffraction pattern of CaB2H8O8. It was derived from a GGA-PBE-relaxed structure, using Cu Kα, 1.54184 Å.
Intensities are scaled so that the largest is 100.

Structural model:
```
data_CaB2H8O8
_chemical_formula_sum 'Ca2 B4 H16 O16'
_space_group_name_H-M_alt 'P 1'
_space_group_IT_number 1
_cell_length_a 5.672
_cell_length_b 7.816
_cell_length_c 8.116
_cell_angle_alpha 64.55
_cell_angle_beta 73.34
_cell_angle_gamma 71.82
loop_
_space_group_symop_operation_xyz
'x,y,z'
loop_
_atom_site_label
_atom_site_fract_x
_atom_site_fract_y
_atom_site_fract_z
Ca1 0.164 0.230 0.321
Ca2 0.836 0.770 0.679
B1 0.172 0.975 0.731
B2 0.397 0.433 0.781
B3 0.603 0.567 0.219
B4 0.828 0.025 0.269
H1 0.060 0.747 0.953
H2 0.126 0.793 0.296
H3 0.134 0.366 0.699
H4 0.345 0.457 0.450
H5 0.367 0.796 0.580
H6 0.422 0.834 0.068
H7 0.436 0.052 0.799
H8 0.459 0.400 0.019
H9 0.541 0.600 0.981
H10 0.564 0.948 0.201
H11 0.578 0.166 0.932
H12 0.633 0.204 0.420
H13 0.655 0.543 0.550
H14 0.866 0.634 0.301
H15 0.874 0.207 0.704
H16 0.940 0.253 0.047
O1 0.021 0.129 0.132
O2 0.060 0.187 0.659
O3 0.184 0.482 0.687
O4 0.234 0.917 0.565
O5 0.307 0.453 0.963
O6 0.403 0.931 0.806
O7 0.432 0.426 0.338
O8 0.453 0.767 0.197
O9 0.547 0.233 0.803
O10 0.568 0.574 0.662
O11 0.597 0.069 0.194
O12 0.693 0.547 0.037
O13 0.766 0.083 0.435
O14 0.816 0.518 0.313
O15 0.940 0.813 0.341
O16 0.979 0.871 0.868
```

Principal peaks in the range 5 to 70 degrees two-theta, by intensity:
2θ (°), I (rel.)
23.3, 100
24.7, 97
14.1, 96
24.5, 86
35.7, 68
34.8, 46


No. 3
The following is a simulated powder X-ray diffraction pattern of Dy3Tm. It was derived from a GGA-PBE-relaxed structure, using Cu Kα, 1.54184 Å.
Intensities are scaled so that the largest is 100.

Structural model:
```
data_Dy3Tm
_chemical_formula_sum 'Dy3 Tm1'
_space_group_name_H-M_alt 'P 1'
_space_group_IT_number 1
_cell_length_a 4.982
_cell_length_b 4.982
_cell_length_c 4.982
_cell_angle_alpha 90.00
_cell_angle_beta 90.00
_cell_angle_gamma 90.00
loop_
_space_group_symop_operation_xyz
'x,y,z'
loop_
_atom_site_label
_atom_site_fract_x
_atom_site_fract_y
_atom_site_fract_z
Dy1 0.000 0.000 0.500
Dy2 0.000 0.500 0.000
Dy3 0.500 0.000 0.000
Tm1 0.500 0.500 0.500
```

Principal peaks in the range 5 to 70 degrees two-theta, by intensity:
2θ (°), I (rel.)
31.1, 100
36.1, 51
61.8, 43
51.9, 36
64.8, 12


No. 4
The following is a simulated powder X-ray diffraction pattern of Ho5CoBi2. It was derived from a GGA-PBE-relaxed structure, using Cu Kα, 1.54184 Å.
Intensities are scaled so that the largest is 100.

Structural model:
```
data_Ho5CoBi2
_chemical_formula_sum 'Ho20 Co4 Bi8'
_space_group_name_H-M_alt 'P 1'
_space_group_IT_number 1
_cell_length_a 12.322
_cell_length_b 8.848
_cell_length_c 7.941
_cell_angle_alpha 90.00
_cell_angle_beta 90.00
_cell_angle_gamma 90.00
loop_
_space_group_symop_operation_xyz
'x,y,z'
loop_
_atom_site_label
_atom_site_fract_x
_atom_site_fract_y
_atom_site_fract_z
Ho1 0.002 0.250 0.054
Ho2 0.063 0.538 0.324
Ho3 0.063 0.962 0.324
Ho4 0.189 0.250 0.614
Ho5 0.200 0.750 0.655
Ho6 0.300 0.250 0.155
Ho7 0.311 0.750 0.114
Ho8 0.437 0.038 0.824
Ho9 0.437 0.462 0.824
Ho10 0.498 0.750 0.554
Ho11 0.502 0.250 0.446
Ho12 0.563 0.538 0.176
Ho13 0.563 0.962 0.176
Ho14 0.689 0.250 0.886
Ho15 0.700 0.750 0.845
Ho16 0.800 0.250 0.345
Ho17 0.811 0.750 0.386
Ho18 0.937 0.038 0.676
Ho19 0.937 0.462 0.676
Ho20 0.998 0.750 0.946
Co1 0.008 0.250 0.432
Co2 0.492 0.750 0.932
Co3 0.508 0.250 0.068
Co4 0.992 0.750 0.568
Bi1 0.174 0.010 0.929
Bi2 0.174 0.490 0.929
Bi3 0.326 0.510 0.429
Bi4 0.326 0.990 0.429
Bi5 0.674 0.010 0.571
Bi6 0.674 0.490 0.571
Bi7 0.826 0.510 0.071
Bi8 0.826 0.990 0.071
```

Principal peaks in the range 5 to 70 degrees two-theta, by intensity:
2θ (°), I (rel.)
31.1, 100
31.8, 67
33.6, 27
40.8, 23
34.7, 13
35.5, 12


No. 5
The following is a simulated powder X-ray diffraction pattern of TbAl3Cu2. It was derived from a GGA-PBE-relaxed structure, using Cu Kα, 1.54184 Å.
Intensities are scaled so that the largest is 100.

Structural model:
```
data_TbAl3Cu2
_chemical_formula_sum 'Tb1 Al3 Cu2'
_space_group_name_H-M_alt 'P 1'
_space_group_IT_number 1
_cell_length_a 5.369
_cell_length_b 5.369
_cell_length_c 4.033
_cell_angle_alpha 90.00
_cell_angle_beta 90.00
_cell_angle_gamma 120.00
loop_
_space_group_symop_operation_xyz
'x,y,z'
loop_
_atom_site_label
_atom_site_fract_x
_atom_site_fract_y
_atom_site_fract_z
Tb1 0.000 0.000 0.000
Al1 0.000 0.500 0.500
Al2 0.500 0.000 0.500
Al3 0.500 0.500 0.500
Cu1 0.333 0.667 0.000
Cu2 0.667 0.333 0.000
```

Principal peaks in the range 5 to 70 degrees two-theta, by intensity:
2θ (°), I (rel.)
40.4, 100
33.4, 59
22.0, 35
57.1, 34
29.3, 30
64.4, 24


No. 6
The following is a simulated powder X-ray diffraction pattern of K2Te2Pd. It was derived from a GGA-PBE-relaxed structure, using Cu Kα, 1.54184 Å.
Intensities are scaled so that the largest is 100.

Structural model:
```
data_K2Te2Pd
_chemical_formula_sum 'K2 Te2 Pd1'
_space_group_name_H-M_alt 'P 1'
_space_group_IT_number 1
_cell_length_a 7.253
_cell_length_b 7.253
_cell_length_c 7.253
_cell_angle_alpha 147.22
_cell_angle_beta 106.55
_cell_angle_gamma 82.79
loop_
_space_group_symop_operation_xyz
'x,y,z'
loop_
_atom_site_label
_atom_site_fract_x
_atom_site_fract_y
_atom_site_fract_z
K1 0.218 0.218 0.000
K2 0.782 0.782 0.000
Te1 0.302 0.000 0.302
Te2 0.698 0.000 0.698
Pd1 0.500 0.500 0.000
```

Principal peaks in the range 5 to 70 degrees two-theta, by intensity:
2θ (°), I (rel.)
13.1, 100
16.3, 81
31.1, 72
39.1, 57
38.1, 38
26.6, 36


No. 7
The following is a simulated powder X-ray diffraction pattern of InGaSe2. It was derived from a GGA-PBE-relaxed structure, using Cu Kα, 1.54184 Å.
Intensities are scaled so that the largest is 100.

Structural model:
```
data_InGaSe2
_chemical_formula_sum 'In2 Ga2 Se4'
_space_group_name_H-M_alt 'P 1'
_space_group_IT_number 1
_cell_length_a 6.592
_cell_length_b 6.592
_cell_length_c 6.592
_cell_angle_alpha 103.74
_cell_angle_beta 103.74
_cell_angle_gamma 121.67
loop_
_space_group_symop_operation_xyz
'x,y,z'
loop_
_atom_site_label
_atom_site_fract_x
_atom_site_fract_y
_atom_site_fract_z
In1 0.250 0.250 0.000
In2 0.750 0.750 0.000
Ga1 0.250 0.750 0.500
Ga2 0.750 0.250 0.500
Se1 0.162 0.662 0.825
Se2 0.338 0.162 0.500
Se3 0.662 0.838 0.500
Se4 0.838 0.338 0.175
```

Principal peaks in the range 5 to 70 degrees two-theta, by intensity:
2θ (°), I (rel.)
35.6, 100
28.2, 80
31.1, 52
53.3, 36
21.8, 35
50.1, 29


No. 8
The following is a simulated powder X-ray diffraction pattern of CdTe. It was derived from a GGA-PBE-relaxed structure, using Cu Kα, 1.54184 Å.
Intensities are scaled so that the largest is 100.

Structural model:
```
data_CdTe
_chemical_formula_sum 'Cd1 Te1'
_space_group_name_H-M_alt 'P 1'
_space_group_IT_number 1
_cell_length_a 3.094
_cell_length_b 3.094
_cell_length_c 6.373
_cell_angle_alpha 90.00
_cell_angle_beta 90.00
_cell_angle_gamma 90.00
loop_
_space_group_symop_operation_xyz
'x,y,z'
loop_
_atom_site_label
_atom_site_fract_x
_atom_site_fract_y
_atom_site_fract_z
Cd1 0.000 0.000 0.000
Te1 0.000 0.000 0.500
```

Principal peaks in the range 5 to 70 degrees two-theta, by intensity:
2θ (°), I (rel.)
28.9, 100
40.6, 78
28.0, 54
50.6, 41
41.3, 38
65.9, 18


No. 9
The following is a simulated powder X-ray diffraction pattern of HoGe2Ru2. It was derived from a GGA-PBE-relaxed structure, using Cu Kα, 1.54184 Å.
Intensities are scaled so that the largest is 100.

Structural model:
```
data_HoGe2Ru2
_chemical_formula_sum 'Ho1 Ge2 Ru2'
_space_group_name_H-M_alt 'P 1'
_space_group_IT_number 1
_cell_length_a 5.771
_cell_length_b 5.771
_cell_length_c 5.771
_cell_angle_alpha 136.57
_cell_angle_beta 136.57
_cell_angle_gamma 63.09
loop_
_space_group_symop_operation_xyz
'x,y,z'
loop_
_atom_site_label
_atom_site_fract_x
_atom_site_fract_y
_atom_site_fract_z
Ho1 0.000 0.000 0.000
Ge1 0.370 0.370 0.000
Ge2 0.630 0.630 0.000
Ru1 0.250 0.750 0.500
Ru2 0.750 0.250 0.500
```

Principal peaks in the range 5 to 70 degrees two-theta, by intensity:
2θ (°), I (rel.)
34.9, 100
34.5, 62
42.3, 61
55.7, 31
64.7, 20
61.4, 20


No. 10
The following is a simulated powder X-ray diffraction pattern of MgCr. It was derived from a GGA-PBE-relaxed structure, using Cu Kα, 1.54184 Å.
Intensities are scaled so that the largest is 100.

Structural model:
```
data_MgCr
_chemical_formula_sum 'Mg1 Cr1'
_space_group_name_H-M_alt 'P 1'
_space_group_IT_number 1
_cell_length_a 3.326
_cell_length_b 3.326
_cell_length_c 3.326
_cell_angle_alpha 90.00
_cell_angle_beta 90.00
_cell_angle_gamma 90.00
loop_
_space_group_symop_operation_xyz
'x,y,z'
loop_
_atom_site_label
_atom_site_fract_x
_atom_site_fract_y
_atom_site_fract_z
Mg1 0.000 0.000 0.000
Cr1 0.500 0.500 0.500
```

Principal peaks in the range 5 to 70 degrees two-theta, by intensity:
2θ (°), I (rel.)
38.3, 100
69.2, 30
26.8, 17
55.2, 16
62.4, 5
47.3, 4


No. 11
The following is a simulated powder X-ray diffraction pattern of ZrMn3. It was derived from a GGA-PBE-relaxed structure, using Cu Kα, 1.54184 Å.
Intensities are scaled so that the largest is 100.

Structural model:
```
data_ZrMn3
_chemical_formula_sum 'Zr3 Mn9'
_space_group_name_H-M_alt 'P 1'
_space_group_IT_number 1
_cell_length_a 4.870
_cell_length_b 4.870
_cell_length_c 7.989
_cell_angle_alpha 90.00
_cell_angle_beta 90.00
_cell_angle_gamma 120.00
loop_
_space_group_symop_operation_xyz
'x,y,z'
loop_
_atom_site_label
_atom_site_fract_x
_atom_site_fract_y
_atom_site_fract_z
Zr1 0.000 0.000 0.000
Zr2 0.000 0.000 0.382
Zr3 0.333 0.667 0.520
Mn1 0.010 0.505 0.190
Mn2 0.326 0.163 0.705
Mn3 0.333 0.667 0.877
Mn4 0.495 0.505 0.190
Mn5 0.495 0.990 0.190
Mn6 0.667 0.333 0.450
Mn7 0.667 0.333 0.948
Mn8 0.837 0.163 0.705
Mn9 0.837 0.674 0.705
```

Principal peaks in the range 5 to 70 degrees two-theta, by intensity:
2θ (°), I (rel.)
43.5, 100
40.0, 88
44.4, 75
36.9, 45
68.6, 30
42.9, 13


No. 12
The following is a simulated powder X-ray diffraction pattern of Hf6Al16Rh7. It was derived from a GGA-PBE-relaxed structure, using Cu Kα, 1.54184 Å.
Intensities are scaled so that the largest is 100.

Structural model:
```
data_Hf6Al16Rh7
_chemical_formula_sum 'Hf6 Al16 Rh7'
_space_group_name_H-M_alt 'P 1'
_space_group_IT_number 1
_cell_length_a 8.702
_cell_length_b 8.702
_cell_length_c 8.702
_cell_angle_alpha 60.00
_cell_angle_beta 60.00
_cell_angle_gamma 60.00
loop_
_space_group_symop_operation_xyz
'x,y,z'
loop_
_atom_site_label
_atom_site_fract_x
_atom_site_fract_y
_atom_site_fract_z
Hf1 0.185 0.185 0.815
Hf2 0.185 0.815 0.185
Hf3 0.185 0.815 0.815
Hf4 0.815 0.185 0.185
Hf5 0.815 0.185 0.815
Hf6 0.815 0.815 0.185
Al1 0.141 0.620 0.620
Al2 0.162 0.162 0.162
Al3 0.162 0.162 0.513
Al4 0.162 0.513 0.162
Al5 0.380 0.380 0.380
Al6 0.380 0.380 0.859
Al7 0.380 0.859 0.380
Al8 0.487 0.838 0.838
Al9 0.513 0.162 0.162
Al10 0.620 0.141 0.620
Al11 0.620 0.620 0.141
Al12 0.620 0.620 0.620
Al13 0.838 0.487 0.838
Al14 0.838 0.838 0.487
Al15 0.838 0.838 0.838
Al16 0.859 0.380 0.380
Rh1 0.000 0.000 0.500
Rh2 0.000 0.500 0.000
Rh3 0.000 0.500 0.500
Rh4 0.500 0.000 0.000
Rh5 0.500 0.000 0.500
Rh6 0.500 0.500 0.000
Rh7 0.500 0.500 0.500
```

Principal peaks in the range 5 to 70 degrees two-theta, by intensity:
2θ (°), I (rel.)
38.0, 100
41.5, 79
29.0, 67
31.7, 61
35.7, 54
64.2, 34